# Mg5Cd2Au
Computed powder diffraction line list, Cu Kα. Input: the PBE geometry in OQMD.

Top 10 peaks for 10° ≤ 2θ ≤ 90°, low angle first:
- 16.4 deg, I = 25
- 17.0 deg, I = 28
- 24.9 deg, I = 61
- 28.3 deg, I = 25
- 33.2 deg, I = 19
- 34.3 deg, I = 21
- 36.7 deg, I = 32
- 38.0 deg, I = 100
- 39.1 deg, I = 28
- 66.9 deg, I = 18

Cell and atoms:
a b c (Å): 4.9024 6.1050 6.1050
angles (deg): 62.29 90.00 90.00
Sites, in units of the cell vectors:
Mg1 0.0000 0.0000 0.0000
Mg2 0.0000 0.0166 0.4988
Mg3 0.0000 0.4988 0.0166
Mg4 0.5000 0.3272 0.8211
Mg5 0.5000 0.8211 0.3272
Cd1 0.0000 0.5081 0.5081
Cd2 0.5000 0.8302 0.8302
Au1 0.5000 0.3103 0.3103

# RbGdTeS
Computed powder diffraction line list, Cu Kα. Input: the PBE geometry in OQMD.

Top 10 peaks for 10° ≤ 2θ ≤ 90°, low angle first:
- 10.8 deg, I = 35
- 26.3 deg, I = 100
- 29.0 deg, I = 68
- 32.5 deg, I = 49
- 41.0 deg, I = 40
- 42.0 deg, I = 54
- 50.2 deg, I = 17
- 51.8 deg, I = 13
- 62.7 deg, I = 16
- 67.5 deg, I = 14

Cell and atoms:
a b c (Å): 4.3042 4.3042 16.3627
angles (deg): 90.00 90.00 120.00
Sites, in units of the cell vectors:
Rb1 0.3333 0.6667 0.2716
Rb2 0.6667 0.3333 0.7284
Gd1 0.0000 0.0000 0.0000
Gd2 0.0000 0.0000 0.5000
Te1 0.3333 0.6667 0.8882
Te2 0.6667 0.3333 0.1118
S1 0.3333 0.6667 0.5863
S2 0.6667 0.3333 0.4137